LiTaO3: theoretical PXRD pattern (Cu Kα X-rays), based on a structure optimized by DFT (GGA-PBE).
Lines closer than 0.1° are merged.

Structural model:
a = 6.414 Å, b = 8.548 Å, c = 4.928 Å
α = 90.00°, β = 90.00°, γ = 90.00°
Element x y z (fractional)
Li 0.000 0.000 0.000
Li 0.000 0.500 0.000
Li 0.500 0.000 0.500
Li 0.500 0.500 0.500
Ta 0.187 0.250 0.462
Ta 0.313 0.750 0.962
Ta 0.687 0.250 0.038
Ta 0.813 0.750 0.538
O 0.034 0.750 0.812
O 0.182 0.080 0.682
O 0.182 0.420 0.682
O 0.318 0.580 0.182
O 0.318 0.920 0.182
O 0.466 0.250 0.312
O 0.534 0.750 0.688
O 0.682 0.080 0.818
O 0.682 0.420 0.818
O 0.818 0.580 0.318
O 0.818 0.920 0.318
O 0.966 0.250 0.188

The 8 most intense peaks (2θ = 10–80°), sorted by position:
2θ = 20.78°, intensity 46; 2θ = 25.06°, intensity 100; 2θ = 29.75°, intensity 20; 2θ = 39.13°, intensity 26; 2θ = 42.32°, intensity 18; 2θ = 46.29°, intensity 11; 2θ = 51.25°, intensity 12; 2θ = 58.99°, intensity 16


Li3TaO4: theoretical PXRD pattern (Cu Kα X-rays), based on a structure optimized by DFT (GGA-PBE).
Lines closer than 0.1° are merged.

Structural model:
a = 5.247 Å, b = 5.247 Å, c = 5.247 Å
α = 133.65°, β = 133.65°, γ = 67.64°
Element x y z (fractional)
Li 0.000 0.000 0.000
Li 0.250 0.750 0.500
Li 0.750 0.250 0.500
Ta 0.500 0.500 0.000
O 0.000 0.500 0.500
O 0.278 0.278 0.000
O 0.500 0.000 0.500
O 0.722 0.722 0.000

The 8 most intense peaks (2θ = 10–80°), sorted by position:
2θ = 20.37°, intensity 35; 2θ = 23.84°, intensity 100; 2θ = 30.62°, intensity 25; 2θ = 37.06°, intensity 17; 2θ = 37.86°, intensity 23; 2θ = 43.85°, intensity 20; 2θ = 48.80°, intensity 14; 2θ = 50.52°, intensity 27